Record 1
Simulated X-ray powder pattern
Compound: Sr2TmBiO6
Radiation: a wavelength of 1.5418 Å
Structure: a crystal structure in the Materials Project, relaxed with PBE
Lines closer than 0.1° are merged.

Crystal structure
Cell: 5.910 6.053 10.288 Å, 90.00 124.99 90.00°
Element x y z (fractional)
Sr (0.240, 0.045, 0.252)
Sr (0.240, 0.455, 0.752)
Sr (0.760, 0.545, 0.248)
Sr (0.760, 0.955, 0.748)
Tm (0.500, 0.000, 0.000)
Tm (0.500, 0.500, 0.500)
Bi (0.000, 0.000, 0.500)
Bi (0.000, 0.500, 0.000)
O (0.150, 0.213, 0.950)
O (0.150, 0.287, 0.450)
O (0.244, 0.703, 0.954)
O (0.244, 0.797, 0.454)
O (0.336, 0.033, 0.745)
O (0.336, 0.467, 0.245)
O (0.664, 0.533, 0.755)
O (0.664, 0.967, 0.255)
O (0.756, 0.203, 0.546)
O (0.756, 0.297, 0.046)
O (0.850, 0.713, 0.550)
O (0.850, 0.787, 0.050)

Largest 10 diffraction maxima, in order of rising 2θ, 5 to 70 degrees two-theta:
2theta	d (Å)	Rel. int.
21.03	4.224	34.3
29.52	3.026	24.4
29.94	2.985	100.0
30.25	2.955	23.8
42.77	2.114	24.6
42.92	2.107	13.2
52.63	1.739	18.6
53.40	1.716	11.3
53.53	1.712	23.2
62.20	1.492	14.5



Record 2
Simulated X-ray powder pattern
Compound: Sr2YBiO6
Radiation: a wavelength of 1.5418 Å
Structure: a crystal structure in the Materials Project, relaxed with PBE
Lines closer than 0.1° are merged.

Crystal structure
Cell: 6.089 6.089 6.089 Å, 60.00 60.00 60.00°
Element x y z (fractional)
Sr (0.250, 0.250, 0.250)
Sr (0.750, 0.750, 0.750)
Y (0.000, 0.000, 0.000)
Bi (0.500, 0.500, 0.500)
O (0.256, 0.256, 0.744)
O (0.256, 0.744, 0.256)
O (0.256, 0.744, 0.744)
O (0.744, 0.256, 0.256)
O (0.744, 0.256, 0.744)
O (0.744, 0.744, 0.256)

Largest 10 diffraction maxima, in order of rising 2θ, 5 to 70 degrees two-theta:
2theta	d (Å)	Rel. int.
17.84	4.972	14.9
20.63	4.306	14.9
29.33	3.045	100.0
34.54	2.597	8.9
41.96	2.153	31.7
45.93	1.976	3.9
47.20	1.926	6.6
52.02	1.758	41.7
60.85	1.522	20.0
68.97	1.362	18.4



Record 3
Simulated X-ray powder pattern
Compound: Sr2YBiO6
Radiation: a wavelength of 1.5418 Å
Structure: a crystal structure in the Materials Project, relaxed with PBE
Lines closer than 0.1° are merged.

Crystal structure
Cell: 8.548 8.548 8.548 Å, 90.00 90.00 90.00°
Element x y z (fractional)
Sr (0.250, 0.250, 0.250)
Sr (0.250, 0.250, 0.750)
Sr (0.250, 0.750, 0.250)
Sr (0.250, 0.750, 0.750)
Sr (0.750, 0.250, 0.250)
Sr (0.750, 0.250, 0.750)
Sr (0.750, 0.750, 0.250)
Sr (0.750, 0.750, 0.750)
Y (0.000, 0.000, 0.000)
Y (0.000, 0.500, 0.500)
Y (0.500, 0.000, 0.500)
Y (0.500, 0.500, 0.000)
Bi (0.000, 0.000, 0.500)
Bi (0.000, 0.500, 0.000)
Bi (0.500, 0.000, 0.000)
Bi (0.500, 0.500, 0.500)
O (0.035, 0.544, 0.757)
O (0.035, 0.956, 0.743)
O (0.044, 0.243, 0.535)
O (0.044, 0.257, 0.965)
O (0.243, 0.535, 0.044)
O (0.243, 0.965, 0.456)
O (0.257, 0.535, 0.456)
O (0.257, 0.965, 0.044)
O (0.456, 0.243, 0.965)
O (0.456, 0.257, 0.535)
O (0.465, 0.544, 0.743)
O (0.465, 0.956, 0.757)
O (0.535, 0.044, 0.243)
O (0.535, 0.456, 0.257)
O (0.544, 0.743, 0.465)
O (0.544, 0.757, 0.035)
O (0.743, 0.035, 0.956)
O (0.743, 0.465, 0.544)
O (0.757, 0.035, 0.544)
O (0.757, 0.465, 0.956)
O (0.956, 0.743, 0.035)
O (0.956, 0.757, 0.465)
O (0.965, 0.044, 0.257)
O (0.965, 0.456, 0.243)

Largest 10 diffraction maxima, in order of rising 2θ, 5 to 70 degrees two-theta:
2theta	d (Å)	Rel. int.
17.97	4.935	15.0
20.78	4.274	13.2
29.56	3.022	100.0
34.81	2.577	8.8
42.29	2.137	28.4
46.30	1.961	4.0
47.57	1.911	6.1
52.44	1.745	45.9
61.35	1.511	16.9
69.56	1.352	18.5